For V4CrFe3O16, a crystal structure in the Materials Project, relaxed with PBE+U gives the theoretical powder X-ray diffraction pattern in this record (Cu Kα).
Neutral-atom scattering factors, no anomalous dispersion.

Structural model:
```
V4CrFe3O16
1.0
5.023 -4.544 0.000
5.023 4.544 0.000
-2.083 0.000 6.631
V Cr Fe O
4 1 3 16
Cartesian
5.023 -4.544 0.000 V
5.023 0.000 0.000 V
1.894 -2.262 2.667 V
6.069 -2.262 3.964 V
3.981 0.632 3.315 Cr
2.674 2.272 0.899 Fe
3.981 3.970 3.315 Fe
5.289 2.272 5.732 Fe
1.210 0.947 0.724 O
0.270 0.842 3.489 O
1.207 2.273 5.685 O
4.147 3.677 1.329 O
2.671 2.258 3.040 O
3.816 3.677 5.302 O
4.142 0.866 1.327 O
5.292 2.258 3.591 O
3.820 0.866 5.304 O
6.756 2.273 0.945 O
2.679 -0.833 3.143 O
1.729 -0.946 5.905 O
5.284 -0.833 3.488 O
6.234 -0.946 0.726 O
6.753 0.947 5.906 O
7.693 0.842 3.142 O
```

Top 10 peaks for 2θ from 10° to 80°, by intensity:
2theta  I (rel.)
27.04  100.0
27.51  24.7
41.06  22.6
13.42  22.0
26.89  21.9
34.13  20.7
32.65  19.4
61.17  14.2
28.87  13.5
52.74  12.4